(1)
Calculated PXRD pattern
Compound: SmTmHf
Radiation: copper Kα
Structure: a structure optimized by DFT (PBE)
Intensities are scaled so that the largest is 100.

Most intense lines, 2θ from 5° to 70°, in order of falling intensity:
d [Å], I_rel
2.773, 100.0
2.408, 68.0
2.802, 31.4
1.451, 25.7
1.696, 23.7
1.709, 21.4
1.447, 13.9
1.459, 13.7
1.386, 12.1
8.407, 5.9

Atomic structure:
abc: 3.392 3.392 8.407
angles: 90.00 90.00 120.00
Fractional positions:
Sm  0.000  0.000  0.000
Tm  0.333  0.667  0.626
Hf  0.667  0.333  0.317



(2)
Calculated PXRD pattern
Compound: Hf4Sn5
Radiation: copper Kα
Structure: a structure optimized by DFT (PBE)
Intensities are scaled so that the largest is 100.

Most intense lines, 2θ from 5° to 70°, in order of falling intensity:
d [Å], I_rel
2.592, 100.0
2.761, 96.8
2.850, 89.5
1.983, 80.9
2.229, 78.8
1.392, 36.9
1.495, 22.9
1.591, 22.3
1.611, 16.5
6.173, 16.4

Atomic structure:
abc: 6.799 6.799 6.799
angles: 100.12 100.12 130.44
Fractional positions:
Hf  0.064  0.334  0.397
Hf  0.334  0.936  0.270
Hf  0.666  0.064  0.730
Hf  0.936  0.666  0.603
Sn  0.000  0.000  0.000
Sn  0.269  0.602  0.871
Sn  0.398  0.269  0.667
Sn  0.602  0.731  0.333
Sn  0.731  0.398  0.129



(3)
Calculated PXRD pattern
Compound: Hf5Sn2
Radiation: copper Kα
Structure: a structure optimized by DFT (PBE)
Intensities are scaled so that the largest is 100.

Most intense lines, 2θ from 5° to 70°, in order of falling intensity:
d [Å], I_rel
2.479, 100.0
2.429, 96.9
2.514, 59.9
2.639, 41.4
2.337, 38.9
1.820, 27.6
1.405, 20.5
1.555, 20.4
1.424, 19.2
1.455, 18.4

Atomic structure:
abc: 7.651 7.651 8.219
angles: 97.36 97.36 40.35
Fractional positions:
Hf  0.057  0.661  0.034
Hf  0.102  0.479  0.679
Hf  0.202  0.798  0.750
Hf  0.339  0.943  0.466
Hf  0.479  0.102  0.179
Hf  0.521  0.898  0.821
Hf  0.661  0.057  0.534
Hf  0.798  0.202  0.250
Hf  0.898  0.521  0.321
Hf  0.943  0.339  0.966
Sn  0.221  0.617  0.394
Sn  0.383  0.779  0.106
Sn  0.617  0.221  0.894
Sn  0.779  0.383  0.606



(4)
Calculated PXRD pattern
Compound: Hf5Sn6
Radiation: copper Kα
Structure: a structure optimized by DFT (PBE)
Intensities are scaled so that the largest is 100.

Most intense lines, 2θ from 5° to 70°, in order of falling intensity:
d [Å], I_rel
2.546, 100.0
2.356, 20.2
1.394, 15.9
2.153, 15.5
2.128, 15.3
1.589, 12.5
1.513, 10.3
1.580, 6.2
1.578, 5.9
8.510, 3.9

Atomic structure:
abc: 6.874 6.874 8.510
angles: 90.02 90.02 139.92
Fractional positions:
Hf  0.000  0.000  0.000
Hf  0.333  0.667  0.500
Hf  0.335  0.665  0.000
Hf  0.665  0.335  0.000
Hf  0.667  0.333  0.500
Sn  0.164  0.835  0.255
Sn  0.165  0.836  0.745
Sn  0.500  0.500  0.257
Sn  0.500  0.500  0.743
Sn  0.835  0.164  0.255
Sn  0.836  0.165  0.745



(5)
Calculated PXRD pattern
Compound: Hf5Sn3
Radiation: copper Kα
Structure: a structure optimized by DFT (PBE)
Intensities are scaled so that the largest is 100.

Most intense lines, 2θ from 5° to 70°, in order of falling intensity:
d [Å], I_rel
2.487, 100.0
2.369, 75.9
2.435, 46.3
2.762, 35.9
1.570, 24.9
1.698, 20.5
2.665, 19.7
1.540, 15.8
2.862, 13.5
1.609, 12.8

Atomic structure:
abc: 8.437 8.437 5.725
angles: 90.00 90.00 120.00
Fractional positions:
Hf  0.000  0.245  0.250
Hf  0.000  0.755  0.750
Hf  0.245  0.000  0.250
Hf  0.245  0.245  0.750
Hf  0.333  0.667  0.000
Hf  0.333  0.667  0.500
Hf  0.667  0.333  0.000
Hf  0.667  0.333  0.500
Hf  0.755  0.000  0.750
Hf  0.755  0.755  0.250
Sn  0.000  0.393  0.750
Sn  0.000  0.607  0.250
Sn  0.393  0.000  0.750
Sn  0.393  0.393  0.250
Sn  0.607  0.000  0.250
Sn  0.607  0.607  0.750



(6)
Calculated PXRD pattern
Compound: HfSn
Radiation: copper Kα
Structure: a structure optimized by DFT (PBE)
Intensities are scaled so that the largest is 100.

Most intense lines, 2θ from 5° to 70°, in order of falling intensity:
d [Å], I_rel
2.532, 100.0
2.312, 52.8
1.513, 38.3
1.707, 12.1
3.269, 10.3
2.831, 9.4
1.416, 9.3
1.888, 7.0
1.373, 5.4
4.004, 5.3

Atomic structure:
abc: 5.663 5.663 5.663
angles: 90.00 90.00 90.00
Fractional positions:
Hf  0.143  0.143  0.143
Hf  0.357  0.857  0.643
Hf  0.643  0.357  0.857
Hf  0.857  0.643  0.357
Sn  0.156  0.344  0.656
Sn  0.344  0.656  0.156
Sn  0.656  0.156  0.344
Sn  0.844  0.844  0.844



(7)
Calculated PXRD pattern
Compound: Hf3Sn
Radiation: copper Kα
Structure: a structure optimized by DFT (PBE)
Intensities are scaled so that the largest is 100.

Most intense lines, 2θ from 5° to 70°, in order of falling intensity:
d [Å], I_rel
2.396, 100.0
2.549, 26.4
2.715, 23.5
1.440, 20.7
1.568, 18.3
1.858, 15.7
1.358, 2.8
3.717, 2.1
5.430, 1.1
3.135, 1.0

Atomic structure:
abc: 6.270 6.270 5.098
angles: 90.00 90.00 120.00
Fractional positions:
Hf  0.166  0.332  0.250
Hf  0.166  0.834  0.250
Hf  0.332  0.166  0.750
Hf  0.668  0.834  0.250
Hf  0.834  0.166  0.750
Hf  0.834  0.668  0.750
Sn  0.333  0.667  0.750
Sn  0.667  0.333  0.250



(8)
Calculated PXRD pattern
Compound: Hf5Sn2
Radiation: copper Kα
Structure: a structure optimized by DFT (PBE)
Intensities are scaled so that the largest is 100.

Most intense lines, 2θ from 5° to 70°, in order of falling intensity:
d [Å], I_rel
2.383, 100.0
2.740, 94.9
2.095, 60.8
2.576, 42.9
1.625, 42.5
1.482, 20.4
1.386, 15.9
9.015, 13.6
2.953, 10.4
1.598, 7.1

Atomic structure:
abc: 18.152 18.152 4.190
angles: 90.00 90.00 166.74
Fractional positions:
Hf  0.031  0.969  0.750
Hf  0.176  0.824  0.250
Hf  0.250  0.750  0.750
Hf  0.391  0.609  0.250
Hf  0.468  0.532  0.750
Hf  0.532  0.468  0.250
Hf  0.609  0.391  0.750
Hf  0.750  0.250  0.250
Hf  0.824  0.176  0.750
Hf  0.969  0.031  0.250
Sn  0.095  0.905  0.250
Sn  0.311  0.689  0.250
Sn  0.689  0.311  0.750
Sn  0.905  0.095  0.750



(9)
Calculated PXRD pattern
Compound: Hf13Sn3
Radiation: copper Kα
Structure: a structure optimized by DFT (PBE)
Intensities are scaled so that the largest is 100.

Most intense lines, 2θ from 5° to 70°, in order of falling intensity:
d [Å], I_rel
2.571, 100.0
2.329, 18.6
2.234, 16.8
2.131, 14.8
1.387, 14.3
1.346, 13.2
1.612, 11.9
1.572, 11.1
1.542, 10.6
6.449, 1.4

Atomic structure:
abc: 8.522 6.455 6.455
angles: 87.63 90.00 90.00
Fractional positions:
Hf  0.000  0.000  0.000
Hf  0.000  0.010  0.510
Hf  0.000  0.510  0.010
Hf  0.000  0.521  0.521
Hf  0.249  0.756  0.756
Hf  0.254  0.252  0.766
Hf  0.254  0.766  0.252
Hf  0.500  0.018  0.501
Hf  0.500  0.501  0.018
Hf  0.500  0.510  0.510
Hf  0.746  0.252  0.766
Hf  0.746  0.766  0.252
Hf  0.751  0.756  0.756
Sn  0.243  0.272  0.272
Sn  0.500  0.988  0.988
Sn  0.757  0.272  0.272



(10)
Calculated PXRD pattern
Compound: Hf5Sn4
Radiation: copper Kα
Structure: a structure optimized by DFT (PBE)
Intensities are scaled so that the largest is 100.

Most intense lines, 2θ from 5° to 70°, in order of falling intensity:
d [Å], I_rel
2.448, 100.0
2.531, 88.2
2.580, 45.8
1.759, 28.4
1.445, 21.2
1.983, 14.2
1.622, 11.5
1.394, 11.2
1.670, 9.5
1.475, 8.7

Atomic structure:
abc: 8.766 8.766 5.901
angles: 90.00 90.00 120.00
Fractional positions:
Hf  0.000  0.283  0.250
Hf  0.000  0.717  0.750
Hf  0.283  0.000  0.250
Hf  0.283  0.283  0.750
Hf  0.333  0.667  0.000
Hf  0.333  0.667  0.500
Hf  0.667  0.333  0.000
Hf  0.667  0.333  0.500
Hf  0.717  0.000  0.750
Hf  0.717  0.717  0.250
Sn  0.000  0.000  0.000
Sn  0.000  0.000  0.500
Sn  0.000  0.386  0.750
Sn  0.000  0.614  0.250
Sn  0.386  0.000  0.750
Sn  0.386  0.386  0.250
Sn  0.614  0.000  0.250
Sn  0.614  0.614  0.750



(11)
Calculated PXRD pattern
Compound: Hf8Tc2Sn
Radiation: copper Kα
Structure: a structure optimized by DFT (PBE)
Intensities are scaled so that the largest is 100.

Most intense lines, 2θ from 5° to 70°, in order of falling intensity:
d [Å], I_rel
2.633, 100.0
2.403, 93.7
2.530, 74.9
2.570, 63.3
2.504, 55.6
2.231, 38.0
1.547, 26.6
2.260, 24.6
1.482, 21.2
2.414, 20.5

Atomic structure:
abc: 7.422 7.422 5.112
angles: 100.08 100.08 115.72
Fractional positions:
Hf  0.087  0.327  0.575
Hf  0.242  0.758  0.000
Hf  0.327  0.087  0.575
Hf  0.402  0.402  0.194
Hf  0.598  0.598  0.806
Hf  0.673  0.913  0.425
Hf  0.758  0.242  0.000
Hf  0.913  0.673  0.425
Tc  0.298  0.702  0.500
Tc  0.702  0.298  0.500
Sn  0.000  0.000  0.000



(12)
Calculated PXRD pattern
Compound: HfThSn
Radiation: copper Kα
Structure: a structure optimized by DFT (PBE)
Intensities are scaled so that the largest is 100.

Most intense lines, 2θ from 5° to 70°, in order of falling intensity:
d [Å], I_rel
2.915, 100.0
2.504, 87.2
2.195, 64.2
2.682, 53.1
2.823, 34.6
1.733, 33.8
1.359, 31.3
3.466, 28.3
1.699, 28.1
1.552, 22.1

Atomic structure:
abc: 9.020 9.020 9.020
angles: 151.82 151.82 40.27
Fractional positions:
Hf  0.000  0.500  0.500
Hf  0.500  0.000  0.500
Th  0.177  0.177  0.000
Th  0.823  0.823  0.000
Sn  0.375  0.375  0.000
Sn  0.625  0.625  0.000